Structure and computed powder X-ray diffraction pattern of Mg7Nb (a structure optimized by DFT (GGA-PBE); Cu Kα).

Cell and atoms:
a b c (Å): 6.3101 6.3101 5.0049
angles (deg): 90.00 90.00 120.00
Element x y z (fractional)
Mg: 0.0000 0.0000 0.0000
Mg: 0.0151 0.5075 0.0000
Mg: 0.3361 0.1681 0.5000
Mg: 0.4925 0.5075 0.0000
Mg: 0.4925 0.9849 0.0000
Mg: 0.8319 0.1681 0.5000
Mg: 0.8319 0.6639 0.5000
Nb: 0.3333 0.6667 0.5000

Peak list (10 most intense, 2θ from 10° to 90°, sorted by position)
16.22 deg, I 39.2; 24.11 deg, I 24.0; 32.78 deg, I 28.5; 35.89 deg, I 24.8; 37.50 deg, I 100.0; 49.38 deg, I 17.3; 58.51 deg, I 16.8; 65.56 deg, I 18.2; 70.58 deg, I 18.6; 71.60 deg, I 13.6

---

Structure and computed powder X-ray diffraction pattern of Mg7Nb (a structure optimized by DFT (GGA-PBE); Cu Kα).

Cell and atoms:
a b c (Å): 6.2103 6.2103 6.2103
angles (deg): 60.00 60.00 60.00
Element x y z (fractional)
Mg: 0.0000 0.0000 0.0000
Mg: 0.0000 0.0000 0.5000
Mg: 0.0000 0.5000 0.0000
Mg: 0.0000 0.5000 0.5000
Mg: 0.5000 0.0000 0.0000
Mg: 0.5000 0.0000 0.5000
Mg: 0.5000 0.5000 0.0000
Nb: 0.5000 0.5000 0.5000

Peak list (10 most intense, 2θ from 10° to 90°, sorted by position)
17.49 deg, I 37.8; 20.22 deg, I 20.3; 28.75 deg, I 16.8; 33.85 deg, I 21.7; 35.40 deg, I 100.0; 41.11 deg, I 48.9; 44.99 deg, I 9.6; 59.54 deg, I 31.4; 71.22 deg, I 35.7; 74.91 deg, I 10.2

---

Structure and computed powder X-ray diffraction pattern of Mg6NbNi (a structure optimized by DFT (GGA-PBE); Cu Kα).

Cell and atoms:
a b c (Å): 4.7746 6.2451 6.2451
angles (deg): 56.70 90.00 90.00
Element x y z (fractional)
Mg: 0.0000 0.0000 0.0000
Mg: 0.0000 0.0183 0.4982
Mg: 0.0000 0.4982 0.0183
Mg: 0.5000 0.3555 0.8466
Mg: 0.5000 0.8457 0.8457
Mg: 0.5000 0.8466 0.3555
Nb: 0.5000 0.3675 0.3675
Ni: 0.0000 0.4774 0.4774

Peak list (10 most intense, 2θ from 10° to 90°, sorted by position)
16.13 deg, I 30.3; 16.99 deg, I 63.6; 34.36 deg, I 55.8; 37.74 deg, I 100.0; 39.35 deg, I 68.5; 41.60 deg, I 12.8; 48.06 deg, I 15.7; 51.91 deg, I 24.3; 62.68 deg, I 16.3; 75.51 deg, I 26.2

---

Structure and computed powder X-ray diffraction pattern of Mg6NbNi (a structure optimized by DFT (GGA-PBE); Cu Kα).

Cell and atoms:
a b c (Å): 4.8016 6.2034 6.2034
angles (deg): 56.33 90.00 90.00
Element x y z (fractional)
Mg: 0.0000 0.0000 0.0000
Mg: 0.0000 0.0068 0.5072
Mg: 0.0000 0.4833 0.4833
Mg: 0.0000 0.5072 0.0068
Mg: 0.5000 0.3476 0.8497
Mg: 0.5000 0.8497 0.3476
Nb: 0.5000 0.8504 0.8504
Ni: 0.5000 0.3370 0.3370

Peak list (10 most intense, 2θ from 10° to 90°, sorted by position)
16.21 deg, I 47.8; 18.48 deg, I 30.2; 24.67 deg, I 25.2; 34.75 deg, I 41.4; 37.46 deg, I 41.5; 37.86 deg, I 69.5; 39.64 deg, I 100.0; 52.02 deg, I 25.1; 69.05 deg, I 17.9; 72.69 deg, I 18.9

---

Structure and computed powder X-ray diffraction pattern of MgNb2O6 (a structure optimized by DFT (GGA-PBE); Cu Kα).

Cell and atoms:
a b c (Å): 14.4073 5.8205 5.0953
angles (deg): 90.00 90.00 90.00
Element x y z (fractional)
Mg: 0.0000 0.1654 0.2500
Mg: 0.0000 0.8346 0.7500
Mg: 0.5000 0.3346 0.7500
Mg: 0.5000 0.6654 0.2500
Nb: 0.1598 0.3166 0.7469
Nb: 0.1598 0.6834 0.2469
Nb: 0.3402 0.1834 0.2469
Nb: 0.3402 0.8166 0.7469
Nb: 0.6598 0.1834 0.2531
Nb: 0.6598 0.8166 0.7531
Nb: 0.8402 0.3166 0.7531
Nb: 0.8402 0.6834 0.2531
O: 0.0787 0.1160 0.5905
O: 0.0787 0.8840 0.0905
O: 0.0959 0.3941 0.0713
O: 0.0959 0.6059 0.5713
O: 0.2445 0.3740 0.4182
O: 0.2445 0.6260 0.9182
O: 0.2555 0.1260 0.9182
O: 0.2555 0.8740 0.4182
O: 0.4041 0.1059 0.5713
O: 0.4041 0.8941 0.0713
O: 0.4213 0.3840 0.0905
O: 0.4213 0.6160 0.5905
O: 0.5787 0.3840 0.4095
O: 0.5787 0.6160 0.9095
O: 0.5959 0.1059 0.9287
O: 0.5959 0.8941 0.4287
O: 0.7445 0.1260 0.5818
O: 0.7445 0.8740 0.0818
O: 0.7555 0.3740 0.0818
O: 0.7555 0.6260 0.5818
O: 0.9041 0.3941 0.4287
O: 0.9041 0.6059 0.9287
O: 0.9213 0.1160 0.9095
O: 0.9213 0.8840 0.4095

Peak list (10 most intense, 2θ from 10° to 90°, sorted by position)
12.29 deg, I 18.8; 24.02 deg, I 51.4; 24.72 deg, I 11.6; 29.82 deg, I 100.0; 35.23 deg, I 11.8; 50.75 deg, I 14.1; 52.36 deg, I 17.4; 52.57 deg, I 21.4; 59.91 deg, I 16.0; 63.28 deg, I 12.4

---

Structure and computed powder X-ray diffraction pattern of MgNb4O10 (a structure optimized by DFT (GGA-PBE); Cu Kα).

Cell and atoms:
a b c (Å): 6.6114 3.9324 8.3077
angles (deg): 90.00 92.38 90.00
Element x y z (fractional)
Mg: 0.0000 0.0000 0.0000
Nb: 0.4069 0.0000 0.8428
Nb: 0.4717 0.5000 0.5061
Nb: 0.8468 0.0000 0.6503
Nb: 0.9264 0.5000 0.3231
O: 0.1104 0.0000 0.7597
O: 0.2101 0.5000 0.4196
O: 0.3100 0.0000 0.0421
O: 0.4315 0.5000 0.7703
O: 0.5080 0.0000 0.5713
O: 0.6207 0.5000 0.3192
O: 0.7293 0.0000 0.8631
O: 0.8350 0.5000 0.5980
O: 0.9125 0.0000 0.3912
O: 0.9660 0.5000 0.1019

Peak list (10 most intense, 2θ from 10° to 90°, sorted by position)
10.66 deg, I 91.4; 17.50 deg, I 50.8; 25.06 deg, I 100.0; 27.00 deg, I 48.2; 28.74 deg, I 21.4; 34.61 deg, I 68.2; 36.82 deg, I 21.4; 42.93 deg, I 25.5; 46.17 deg, I 27.4; 64.90 deg, I 22.1

---

Structure and computed powder X-ray diffraction pattern of MgNb4O10 (a structure optimized by DFT (GGA-PBE); Cu Kα).

Cell and atoms:
a b c (Å): 6.6394 4.0649 7.7538
angles (deg): 90.00 92.47 90.00
Element x y z (fractional)
Mg: 0.0000 0.0000 0.0000
Nb: 0.3387 0.5000 0.0325
Nb: 0.4314 0.0000 0.6704
Nb: 0.7520 0.5000 0.7994
Nb: 0.8916 0.0000 0.4688
O: 0.0283 0.5000 0.9366
O: 0.1567 0.0000 0.5786
O: 0.2942 0.5000 0.2524
O: 0.3183 0.0000 0.9566
O: 0.4279 0.5000 0.7189
O: 0.5814 0.0000 0.4760
O: 0.6314 0.5000 0.0238
O: 0.7814 0.0000 0.7922
O: 0.8522 0.5000 0.5425
O: 0.9310 0.0000 0.2432

Peak list (10 most intense, 2θ from 10° to 90°, sorted by position)
11.42 deg, I 100.0; 17.98 deg, I 73.1; 24.73 deg, I 91.9; 26.14 deg, I 53.7; 26.88 deg, I 41.6; 28.45 deg, I 53.9; 34.90 deg, I 36.0; 36.80 deg, I 39.7; 43.02 deg, I 38.7; 44.58 deg, I 42.5

---

Structure and computed powder X-ray diffraction pattern of Mg3Nb6O11 (a structure optimized by DFT (GGA-PBE); Cu Kα).

Cell and atoms:
a b c (Å): 6.1163 6.1163 7.5566
angles (deg): 90.00 90.00 120.00
Element x y z (fractional)
Mg: 0.0000 0.0000 0.0000
Mg: 0.3333 0.6667 0.0759
Mg: 0.6667 0.3333 0.9241
Nb: 0.1545 0.3089 0.6528
Nb: 0.1545 0.8455 0.6528
Nb: 0.3089 0.1545 0.3472
Nb: 0.6911 0.8455 0.6528
Nb: 0.8455 0.1545 0.3472
Nb: 0.8455 0.6911 0.3472
O: 0.0000 0.5000 0.5000
O: 0.1560 0.3121 0.1732
O: 0.1560 0.8440 0.1732
O: 0.3121 0.1560 0.8268
O: 0.3333 0.6667 0.8130
O: 0.5000 0.0000 0.5000
O: 0.5000 0.5000 0.5000
O: 0.6667 0.3333 0.1870
O: 0.6879 0.8440 0.1732
O: 0.8440 0.1560 0.8268
O: 0.8440 0.6879 0.8268

Peak list (10 most intense, 2θ from 10° to 90°, sorted by position)
11.71 deg, I 79.3; 16.74 deg, I 34.1; 20.48 deg, I 28.7; 29.03 deg, I 28.7; 31.56 deg, I 27.1; 33.85 deg, I 26.8; 35.93 deg, I 55.9; 41.64 deg, I 100.0; 60.17 deg, I 32.1; 60.55 deg, I 31.2